For Sm2YCo2C2N3, a structure optimized by DFT (GGA-PBE) gives the theoretical PXRD pattern in this record (a wavelength of 1.5418 Å).

Principal peaks in the range 15° ≤ 2θ ≤ 90°, sorted by position:
| 2θ/deg | d/Å | I (rel.) |
| --- | --- | --- |
| 28.91 | 3.088 | 100.0 |
| 34.35 | 2.611 | 68.6 |
| 36.22 | 2.480 | 43.5 |
| 36.79 | 2.443 | 55.2 |
| 37.41 | 2.404 | 31.0 |
| 40.80 | 2.212 | 68.4 |
| 52.16 | 1.754 | 45.1 |
| 65.52 | 1.425 | 38.5 |

Crystal structure
```
Sm2YCo2C2N3
1.0
-1.7537 1.7537 9.7721
1.7537 -1.7537 9.7721
1.7537 1.7537 -9.7721
Sm Y Co C N
2 1 2 2 3
Cartesian
0.0000 0.0000 2.4943 Sm
0.0000 0.0000 17.0498 Sm
0.0000 0.0000 9.7721 Y
1.7537 0.0000 4.8860 Co
0.0000 1.7537 4.8860 Co
0.0000 0.0000 5.9840 C
0.0000 0.0000 13.5601 C
0.0000 0.0000 0.0000 N
0.0000 0.0000 7.4099 N
0.0000 0.0000 12.1343 N
```